Structure and theoretical powder diffraction line list of Li7Fe8B8O24 (a structure optimized by DFT (PBE+U); Cu Kα (weighted mean of Kα1 and Kα2)).
Kinematic intensities with the Lorentz-polarization factor, no thermal factor.

Structural model:
```
data_Li7Fe8B8O24
_chemical_formula_sum 'Li7 Fe8 B8 O24'
_symmetry_space_group_name_H-M 'P 1'
_symmetry_Int_Tables_number 1
_cell_length_a 5.232
_cell_length_b 9.011
_cell_length_c 11.524
_cell_angle_alpha 67.15
_cell_angle_beta 78.11
_cell_angle_gamma 89.86
loop_
_symmetry_equiv_pos_as_xyz
'x,y,z'
loop_
_atom_site_label
_atom_site_type_symbol
_atom_site_fract_x
_atom_site_fract_y
_atom_site_fract_z
Li1 Li 0.000 0.000 0.000
Li2 Li 0.053 0.384 0.243
Li3 Li 0.251 0.264 0.498
Li4 Li 0.319 0.629 0.741
Li5 Li 0.498 0.484 0.997
Li6 Li 0.563 0.881 0.241
Li7 Li 0.758 0.759 0.501
Fe1 Fe 0.013 0.689 0.958
Fe2 Fe 0.072 0.069 0.216
Fe3 Fe 0.267 0.613 0.459
Fe4 Fe 0.318 0.993 0.713
Fe5 Fe 0.522 0.176 0.958
Fe6 Fe 0.569 0.548 0.217
Fe7 Fe 0.765 0.104 0.473
Fe8 Fe 0.830 0.459 0.711
B1 B 0.017 0.355 0.962
B2 B 0.077 0.733 0.199
B3 B 0.279 0.942 0.457
B4 B 0.319 0.326 0.705
B5 B 0.525 0.844 0.963
B6 B 0.568 0.226 0.207
B7 B 0.781 0.441 0.452
B8 B 0.813 0.808 0.713
O1 O 0.032 0.947 0.429
O2 O 0.046 0.788 0.763
O3 O 0.124 0.208 0.000
O4 O 0.162 0.495 0.951
O5 O 0.195 0.209 0.684
O6 O 0.225 0.481 0.670
O7 O 0.276 0.864 0.932
O8 O 0.308 0.709 0.243
O9 O 0.370 0.055 0.497
O10 O 0.426 0.360 0.192
O11 O 0.438 0.822 0.442
O12 O 0.472 0.102 0.179
O13 O 0.533 0.298 0.761
O14 O 0.534 0.452 0.421
O15 O 0.627 0.693 0.990
O16 O 0.663 0.967 0.970
O17 O 0.700 0.681 0.697
O18 O 0.707 0.954 0.679
O19 O 0.774 0.372 0.933
O20 O 0.802 0.218 0.246
O21 O 0.871 0.552 0.494
O22 O 0.938 0.324 0.435
O23 O 0.943 0.866 0.191
O24 O 0.978 0.618 0.159
```

Peak list (8 most intense, 10 to 90 degrees two-theta, low angle first)
2θ/deg, Rel. int.
19.68, 79
21.51, 42
21.60, 75
25.84, 26
26.44, 33
34.43, 65
34.66, 100
41.01, 28